Entry 1:
# Mg2TaNb2O8
Theoretical powder diffractogram, a wavelength of 1.5418 Å. Input: DFT lattice parameters and positions (PBE).
Intensities are scaled so that the largest is 100.

Main lines, in order of rising 2θ (15° ≤ 2θ ≤ 90°):
- 19.6 deg, rel. 72.8, hkl 0 1 1
- 20.9 deg, rel. 59.8, hkl 0 1 -2
- 25.2 deg, rel. 59.8, hkl -1 1 1
- 26.7 deg, rel. 100.0, hkl 0 1 2
- 27.0 deg, rel. 42.5, hkl 1 1 1
- 27.4 deg, rel. 56.6, hkl 1 -1 2
- 28.2 deg, rel. 45.2, hkl 0 1 -3
- 30.7 deg, rel. 52.1, hkl -1 1 2
- 33.8 deg, rel. 42.6, hkl 1 -1 3
- 34.3 deg, rel. 59.3, hkl 1 -2 1
- 34.4 deg, rel. 65.7, hkl 2 0 0
- 35.0 deg, rel. 61.5, hkl 1 2 -1

```
data_Mg2TaNb2O8
_chemical_formula_sum 'Mg4 Ta2 Nb4 O16'
_cell_length_a 5.2315
_cell_length_b 5.9821
_cell_length_c 9.9933
_cell_angle_alpha 103.77
_cell_angle_beta 93.57
_cell_angle_gamma 91.65
_space_group_name_H-M_alt 'P -1'
_space_group_IT_number 2
loop_
_space_group_symop_operation_xyz
'x,y,z'
'-x,-y,-z'
loop_
_atom_site_label
_atom_site_type_symbol
_atom_site_fract_x
_atom_site_fract_y
_atom_site_fract_z
Mg1 Mg 0.2321 0.0804 0.4462
Mg2 Mg 0.2537 0.6395 0.5384
Ta1 Ta 0.2450 0.8457 0.0077
Nb1 Nb 0.2810 0.2542 0.7524
Nb2 Nb 0.2830 0.4918 0.2315
O1 O 0.0650 0.7050 0.1363
O2 O 0.0658 0.4205 0.6321
O3 O 0.0949 0.1726 0.1020
O4 O 0.1363 0.9552 0.6157
O5 O 0.3777 0.3440 0.3815
O6 O 0.3907 0.5885 0.8861
O7 O 0.4111 0.0509 0.8865
O8 O 0.4280 0.7963 0.3800
```



Entry 2:
# Ce2YWN5
Theoretical powder diffractogram, a wavelength of 1.5418 Å. Input: DFT lattice parameters and positions (PBE).
Intensities are scaled so that the largest is 100.

Main lines, in order of rising 2θ (15° ≤ 2θ ≤ 90°):
- 18.9 deg, rel. 26.0, hkl 1 1 0
- 30.0 deg, rel. 17.4, hkl 2 1 0
- 30.5 deg, rel. 40.9, hkl 0 0 2
- 30.9 deg, rel. 100.0, hkl 2 0 1
- 33.8 deg, rel. 42.8, hkl 2 1 1
- 38.3 deg, rel. 23.3, hkl 2 2 0
- 43.4 deg, rel. 28.7, hkl 2 1 2
- 45.8 deg, rel. 23.0, hkl 3 1 1
- 49.7 deg, rel. 20.9, hkl 2 2 2
- 54.5 deg, rel. 21.0, hkl 2 0 3
- 57.6 deg, rel. 14.9, hkl 4 0 1
- 71.1 deg, rel. 12.6, hkl 4 2 2

```
data_Ce2YWN5
_chemical_formula_sum 'Ce4 Y2 W2 N10'
_cell_length_a 6.6499
_cell_length_b 6.6499
_cell_length_c 5.8599
_cell_angle_alpha 90.00
_cell_angle_beta 90.00
_cell_angle_gamma 90.00
_space_group_name_H-M_alt 'P 4/m b m'
_space_group_IT_number 127
_space_group_name_Hall '-P 4 2ab'
loop_
_atom_site_label
_atom_site_type_symbol
_atom_site_fract_x
_atom_site_fract_y
_atom_site_fract_z
Ce1 Ce 0.1697 0.3303 0.0000
Y1 Y 0.0000 0.0000 0.5000
W1 W 0.0000 0.5000 0.5000
N1 N 0.0000 0.0000 0.0000
N2 N 0.1477 0.6477 0.2653
```